This entry pairs a crystal structure of CsPmZnBr6 with its calculated powder diffractogram. Radiation: λ = 1.5418 Å (Cu Kα). Structure: DFT lattice parameters and positions (GGA-PBE).
No peak broadening, texture or thermal motion is included.

The 10 most intense peaks (10° ≤ 2θ ≤ 90°), in order of rising 2θ:
10.9 deg, d = 8.137 Å, I 420; 17.8 deg, d = 4.969 Å, I 940; 26.9 deg, d = 3.310 Å, I 666; 33.1 deg, d = 2.706 Å, I 1000; 39.6 deg, d = 2.277 Å, I 330; 41.6 deg, d = 2.171 Å, I 182; 43.3 deg, d = 2.092 Å, I 346; 44.1 deg, d = 2.051 Å, I 217; 51.5 deg, d = 1.774 Å, I 185; 55.5 deg, d = 1.655 Å, I 195

a b c (Å): 7.2464 7.2464 8.1371
angles (deg): 90.00 90.00 120.00
Atoms (fractional coordinates):
Cs 0.0000 0.0000 0.0000
Pm 0.3333 0.6667 0.5000
Zn 0.6667 0.3333 0.5000
Br 0.3873 0.0227 0.6963
Br 0.3873 0.3647 0.3037
Br 0.6353 0.0227 0.3037
Br 0.6353 0.6127 0.6963
Br 0.9773 0.3647 0.6963
Br 0.9773 0.6127 0.3037